(1)
This entry pairs a crystal structure of Y4GaTe3 with its simulated XRD peak list. Radiation: Cu Ka. Structure: a DFT-relaxed cell (PBE, Alexandria).
Lines closer than 0.1° are merged.

Structural model:
```
Y4GaTe3
1.0
7.543 0.000 0.000
0.000 8.707 0.000
-2.476 0.000 7.052
Y Ga Te
8 2 6
Direct
0.228 0.115 0.002
0.228 0.885 0.502
0.233 0.354 0.481
0.233 0.646 0.981
0.767 0.354 0.019
0.767 0.646 0.519
0.772 0.115 0.498
0.772 0.885 0.998
0.000 0.122 0.250
0.000 0.878 0.750
0.000 0.378 0.750
0.000 0.622 0.250
0.500 0.125 0.750
0.500 0.381 0.250
0.500 0.619 0.750
0.500 0.875 0.250
```

The 10 most intense peaks (15 to 90 degrees two-theta), sorted by position:
- 29.0 deg, I 100
- 29.2 deg, I 50
- 41.5 deg, I 54
- 41.6 deg, I 18
- 41.8 deg, I 36
- 51.5 deg, I 18
- 60.2 deg, I 11
- 68.1 deg, I 14
- 68.3 deg, I 15
- 75.7 deg, I 13

(2)
This entry pairs a crystal structure of BaHg3S4 with its simulated XRD peak list. Radiation: Cu Ka. Structure: a DFT-relaxed cell (PBE, Alexandria).
Lines closer than 0.1° are merged.

Structural model:
```
BaHg3S4
1.0
8.002 0.000 0.000
0.000 4.465 0.000
-2.891 0.000 7.528
Ba Hg S
1 3 4
Direct
0.000 0.000 0.000
0.000 0.500 0.500
0.478 0.500 0.745
0.522 0.500 0.255
0.202 0.500 0.800
0.239 0.500 0.275
0.761 0.500 0.725
0.798 0.500 0.200
```

The 10 most intense peaks (15 to 90 degrees two-theta), sorted by position:
- 19.9 deg, I 100
- 22.3 deg, I 85
- 23.2 deg, I 76
- 23.8 deg, I 60
- 24.0 deg, I 46
- 30.2 deg, I 71
- 31.1 deg, I 37
- 35.4 deg, I 42
- 36.4 deg, I 52
- 40.4 deg, I 33

(3)
This entry pairs a crystal structure of RbHg2Se with its simulated XRD peak list. Radiation: Cu Ka. Structure: a DFT-relaxed cell (PBE, Alexandria).
Lines closer than 0.1° are merged.

Structural model:
```
RbHg2Se
1.0
4.246 0.000 0.000
0.053 4.548 0.000
0.081 2.017 7.007
Rb Hg Se
1 2 1
Direct
0.000 0.000 0.000
0.501 0.683 0.635
0.998 0.163 0.462
0.499 0.410 0.228
```

The 10 most intense peaks (15 to 90 degrees two-theta), sorted by position:
- 20.8 deg, I 29
- 26.9 deg, I 29
- 27.9 deg, I 100
- 29.2 deg, I 74
- 29.5 deg, I 98
- 33.0 deg, I 60
- 33.3 deg, I 58
- 34.3 deg, I 66
- 39.7 deg, I 31
- 42.6 deg, I 41

(4)
This entry pairs a crystal structure of Na2H4Se with its simulated XRD peak list. Radiation: Cu Ka. Structure: a DFT-relaxed cell (PBE, Alexandria).
Lines closer than 0.1° are merged.

Structural model:
```
Na2H4Se
1.0
-1.720 1.720 9.489
1.720 -1.720 9.489
1.720 1.720 -9.489
Na H Se
2 4 1
Direct
0.185 0.185 0.000
0.815 0.815 0.000
0.000 0.500 0.500
0.310 0.310 0.000
0.500 0.000 0.500
0.690 0.690 0.000
0.500 0.500 0.000
```

The 10 most intense peaks (15 to 90 degrees two-theta), sorted by position:
- 18.7 deg, I 34
- 26.3 deg, I 34
- 28.2 deg, I 28
- 29.6 deg, I 100
- 37.0 deg, I 30
- 41.7 deg, I 14
- 42.5 deg, I 20
- 47.1 deg, I 24
- 50.8 deg, I 15
- 62.1 deg, I 31

(5)
This entry pairs a crystal structure of Sm3AlTl3S8 with its simulated XRD peak list. Radiation: Cu Ka. Structure: a DFT-relaxed cell (PBE, Alexandria).
Lines closer than 0.1° are merged.

Structural model:
```
Sm3AlTl3S8
1.0
6.962 -4.019 0.000
6.962 4.019 0.000
-4.653 0.000 7.346
Sm Al Tl S
3 1 3 8
Direct
0.000 0.000 0.000
0.000 0.500 0.000
0.500 0.000 0.000
0.500 0.500 0.000
0.000 0.500 0.500
0.500 0.000 0.500
0.500 0.500 0.500
0.236 0.236 0.208
0.265 0.713 0.190
0.287 0.287 0.810
0.287 0.735 0.810
0.713 0.265 0.190
0.713 0.713 0.190
0.735 0.287 0.810
0.764 0.764 0.792
```

The 10 most intense peaks (15 to 90 degrees two-theta), sorted by position:
- 15.1 deg, I 30
- 24.2 deg, I 25
- 26.9 deg, I 53
- 30.4 deg, I 100
- 41.8 deg, I 37
- 45.1 deg, I 34
- 48.9 deg, I 15
- 51.9 deg, I 22
- 55.4 deg, I 17
- 74.1 deg, I 14

(6)
This entry pairs a crystal structure of ThMgNi5As2 with its simulated XRD peak list. Radiation: Cu Ka. Structure: a DFT-relaxed cell (PBE, Alexandria).
Lines closer than 0.1° are merged.

Structural model:
```
ThMgNi5As2
1.0
4.123 0.000 0.000
0.000 4.123 0.000
0.000 0.000 7.928
Th Mg Ni As
1 1 5 2
Direct
0.000 0.000 0.000
0.000 0.000 0.500
0.000 0.500 0.301
0.000 0.500 0.699
0.500 0.000 0.301
0.500 0.000 0.699
0.500 0.500 0.500
0.500 0.500 0.171
0.500 0.500 0.829
```

The 10 most intense peaks (15 to 90 degrees two-theta), sorted by position:
- 24.3 deg, I 59
- 31.3 deg, I 64
- 32.7 deg, I 65
- 38.3 deg, I 100
- 40.5 deg, I 77
- 43.9 deg, I 93
- 54.9 deg, I 27
- 61.3 deg, I 46
- 63.9 deg, I 30
- 77.0 deg, I 24

(7)
This entry pairs a crystal structure of NaPdS2 with its simulated XRD peak list. Radiation: Cu Ka. Structure: a DFT-relaxed cell (PBE, Alexandria).
Lines closer than 0.1° are merged.

Structural model:
```
NaPdS2
1.0
2.326 -6.115 0.000
2.326 6.115 0.000
0.000 0.000 6.964
Na Pd S
2 2 4
Direct
0.183 0.817 0.750
0.817 0.183 0.250
0.500 0.500 0.250
0.500 0.500 0.750
0.374 0.626 0.000
0.374 0.626 0.500
0.626 0.374 0.000
0.626 0.374 0.500
```

The 10 most intense peaks (15 to 90 degrees two-theta), sorted by position:
- 20.4 deg, I 100
- 29.1 deg, I 14
- 29.5 deg, I 15
- 38.7 deg, I 17
- 39.2 deg, I 77
- 49.4 deg, I 7
- 49.6 deg, I 14
- 56.3 deg, I 23
- 57.0 deg, I 11
- 70.4 deg, I 9

(8)
This entry pairs a crystal structure of NaTh2F9 with its simulated XRD peak list. Radiation: Cu Ka. Structure: a DFT-relaxed cell (PBE, Alexandria).
Lines closer than 0.1° are merged.

Structural model:
```
NaTh2F9
1.0
-4.432 4.432 4.343
4.432 -4.432 4.343
4.432 4.432 -4.343
Na Th F
2 4 18
Direct
0.000 0.500 0.500
0.500 0.000 0.500
0.122 0.122 0.630
0.492 0.492 0.370
0.508 0.878 0.000
0.878 0.508 0.000
0.105 0.853 0.354
0.147 0.501 0.252
0.162 0.739 0.000
0.249 0.895 0.748
0.261 0.261 0.423
0.261 0.500 0.761
0.275 0.275 0.000
0.499 0.751 0.646
0.500 0.261 0.761
0.500 0.739 0.239
0.501 0.147 0.252
0.725 0.725 0.000
0.739 0.162 0.000
0.739 0.500 0.239
0.751 0.499 0.646
0.838 0.838 0.577
0.853 0.105 0.354
0.895 0.249 0.748
```

The 10 most intense peaks (15 to 90 degrees two-theta), sorted by position:
- 20.0 deg, I 48
- 20.4 deg, I 27
- 24.7 deg, I 100
- 24.9 deg, I 40
- 28.8 deg, I 20
- 43.4 deg, I 73
- 43.8 deg, I 28
- 44.1 deg, I 27
- 48.3 deg, I 15
- 48.6 deg, I 19

(9)
This entry pairs a crystal structure of Nd3In with its simulated XRD peak list. Radiation: Cu Ka. Structure: a DFT-relaxed cell (PBE, Alexandria).
Lines closer than 0.1° are merged.

Structural model:
```
Nd3In
1.0
4.988 0.000 0.000
0.000 4.988 0.000
0.000 0.000 4.988
Nd In
3 1
Direct
0.000 0.000 0.500
0.000 0.500 0.000
0.500 0.000 0.000
0.500 0.500 0.500
```

The 10 most intense peaks (15 to 90 degrees two-theta), sorted by position:
- 17.8 deg, I 1
- 25.2 deg, I 1
- 31.1 deg, I 100
- 36.0 deg, I 50
- 51.8 deg, I 35
- 61.7 deg, I 42
- 64.7 deg, I 12
- 76.4 deg, I 6
- 84.7 deg, I 17
- 87.4 deg, I 16

(10)
This entry pairs a crystal structure of CaZn2GeRh with its simulated XRD peak list. Radiation: Cu Ka. Structure: a DFT-relaxed cell (PBE, Alexandria).
Lines closer than 0.1° are merged.

Structural model:
```
CaZn2GeRh
1.0
-1.940 2.085 5.664
1.940 -2.085 5.664
1.940 2.085 -5.664
Ca Zn Ge Rh
1 2 1 1
Direct
0.000 0.000 0.000
0.615 0.615 0.000
0.758 0.258 0.500
0.390 0.390 0.000
0.252 0.752 0.500
```

The 10 most intense peaks (15 to 90 degrees two-theta), sorted by position:
- 15.6 deg, I 39
- 32.0 deg, I 15
- 33.1 deg, I 18
- 35.3 deg, I 100
- 43.4 deg, I 32
- 45.2 deg, I 64
- 45.6 deg, I 15
- 46.4 deg, I 16
- 46.8 deg, I 25
- 65.7 deg, I 17

(11)
This entry pairs a crystal structure of YGa2Ni9 with its simulated XRD peak list. Radiation: Cu Ka. Structure: a DFT-relaxed cell (PBE, Alexandria).
Lines closer than 0.1° are merged.

Structural model:
```
YGa2Ni9
1.0
8.032 0.000 0.000
0.000 8.032 0.000
0.000 0.000 4.772
Y Ga Ni
2 4 18
Direct
0.000 0.000 0.000
0.500 0.500 0.000
0.122 0.378 0.000
0.378 0.878 0.000
0.622 0.122 0.000
0.878 0.622 0.000
0.000 0.500 0.500
0.065 0.208 0.500
0.177 0.677 0.241
0.177 0.677 0.759
0.208 0.935 0.500
0.292 0.435 0.500
0.323 0.177 0.241
0.323 0.177 0.759
0.435 0.708 0.500
0.500 0.000 0.500
0.565 0.292 0.500
0.677 0.823 0.241
0.677 0.823 0.759
0.708 0.565 0.500
0.792 0.065 0.500
0.823 0.323 0.241
0.823 0.323 0.759
0.935 0.792 0.500
```

The 10 most intense peaks (15 to 90 degrees two-theta), sorted by position:
- 36.8 deg, I 24
- 40.2 deg, I 100
- 44.1 deg, I 35
- 44.9 deg, I 44
- 45.6 deg, I 91
- 46.6 deg, I 55
- 48.1 deg, I 20
- 50.8 deg, I 15
- 71.8 deg, I 15
- 86.9 deg, I 15

(12)
This entry pairs a crystal structure of SrCeNb2O8 with its simulated XRD peak list. Radiation: Cu Ka. Structure: a DFT-relaxed cell (PBE, Alexandria).
Lines closer than 0.1° are merged.

Structural model:
```
SrCeNb2O8
1.0
-2.690 2.690 5.747
2.690 -2.690 5.747
2.690 2.690 -5.747
Sr Ce Nb O
1 1 2 8
Direct
0.000 0.000 0.000
0.250 0.750 0.500
0.500 0.500 0.000
0.750 0.250 0.500
0.013 0.086 0.435
0.251 0.654 0.091
0.346 0.437 0.597
0.422 0.987 0.073
0.563 0.160 0.909
0.651 0.578 0.565
0.840 0.749 0.403
0.914 0.349 0.927
```

The 10 most intense peaks (15 to 90 degrees two-theta), sorted by position:
- 28.1 deg, I 100
- 31.1 deg, I 12
- 33.3 deg, I 18
- 46.2 deg, I 32
- 47.8 deg, I 15
- 53.6 deg, I 16
- 56.4 deg, I 27
- 58.2 deg, I 11
- 74.6 deg, I 12
- 88.0 deg, I 8

(13)
This entry pairs a crystal structure of Ti6Al3N with its simulated XRD peak list. Radiation: Cu Ka. Structure: a DFT-relaxed cell (PBE, Alexandria).
Lines closer than 0.1° are merged.

Structural model:
```
Ti6Al3N
1.0
4.737 -2.808 0.000
4.737 2.808 0.000
-1.394 0.000 6.111
Ti Al N
6 3 1
Direct
0.134 0.638 0.630
0.156 0.156 0.814
0.362 0.866 0.370
0.638 0.134 0.630
0.844 0.844 0.186
0.866 0.362 0.370
0.331 0.331 0.251
0.500 0.500 0.000
0.669 0.669 0.749
0.000 0.000 0.500
```

The 10 most intense peaks (15 to 90 degrees two-theta), sorted by position:
- 31.3 deg, I 19
- 35.2 deg, I 37
- 38.5 deg, I 29
- 38.7 deg, I 100
- 39.0 deg, I 25
- 42.0 deg, I 52
- 44.4 deg, I 21
- 45.3 deg, I 25
- 55.0 deg, I 13
- 55.7 deg, I 12